The following is a simulated powder XRD pattern of LiCrFeO4. It was derived from the PBE+U geometry in Alexandria, using copper Kα.

The 10 most intense peaks (10° ≤ 2θ ≤ 90°), in order of rising 2θ:
2θ/deg  d (Å)  I (rel.)  hkl
15.1  5.862  349  1 0 0
23.9  3.719  432  1 1 1
26.1  3.419  238  1 0 2
30.3  2.953  602  1 1 2
30.5  2.931  289  2 0 0
35.5  2.531  575  1 0 3
35.9  2.503  1000  2 1 1
57.8  1.596  305  3 2 1
62.9  1.477  505  2 2 4
63.5  1.465  241  4 0 0

Cell and atoms:
Lattice parameters (Å, degrees): 5.862 5.862 8.419 90.00 90.00 90.00
Space group P4_322 (No. 95)
Symmetry-distinct sites (fractional):
Li (0.000, 0.239, 0.000) x4
Cr (0.238, 0.500, 0.250) x4
Fe (0.253, 0.253, 0.625) x4
O (0.019, 0.267, 0.256) x8
O (0.266, 0.485, 0.014) x8